Diffraction record for Ac3ErAs4. The powder X-ray diffraction pattern is calculated, not measured: it uses the PBE geometry in Alexandria and CuKα.

Structure:
```
data_Ac3ErAs4
_chemical_formula_sum 'Ac6 Er2 As8'
_cell_length_a 7.691
_cell_length_b 8.899
_cell_length_c 7.695
_cell_angle_alpha 90.00
_cell_angle_beta 109.53
_cell_angle_gamma 90.00
_space_group_name_H-M_alt 'P 1 2/c 1'
_space_group_IT_number 13
loop_
_space_group_symop_operation_xyz
'x,y,z'
'-x,-y,-z'
'-x,y,-z+1/2'
'x,-y,z+1/2'
loop_
_atom_site_label
_atom_site_type_symbol
_atom_site_fract_x
_atom_site_fract_y
_atom_site_fract_z
Ac1 Ac 0.000 0.123 0.250
Ac2 Ac 0.000 0.371 0.750
Ac3 Ac 0.500 0.372 0.250
Er1 Er 0.500 0.122 0.750
As1 As 0.257 0.366 0.510
As2 As 0.268 0.115 0.999
```

Most intense lines, 10 to 90 degrees two-theta, in order of falling intensity:
2θ (°)	d (Å)	I (rel.)
28.41	3.142	100
40.60	2.222	64
24.54	3.628	39
66.53	1.405	29
48.02	1.895	21
50.28	1.815	21
73.83	1.283	15
58.78	1.571	13